[1]
Simulated powder diffraction line list
Compound: ZrGa2Ni
Radiation: λ = 1.5418 Å (Cu Kα)
Structure: a structure optimized by DFT (GGA-PBE)
Lines closer than 0.1° are merged.

Principal peaks in the range 10 to 90 degrees two-theta, by angle:
d/Å, I (rel.), index
2.468, 34, 4 0 2
2.376, 100, 3 3 2
2.269, 23, 3 0 3
2.131, 27, 3 2 3
2.070, 27, 6 0 0
1.982, 17, 1 1 4

```
data_ZrGa2Ni
_chemical_formula_sum 'Zr20 Ga40 Ni20'
_cell_length_a 12.420
_cell_length_b 12.420
_cell_length_c 8.138
_cell_angle_alpha 90.00
_cell_angle_beta 90.00
_cell_angle_gamma 90.00
_space_group_name_H-M_alt 'I 4 m m'
_space_group_IT_number 107
_space_group_name_Hall 'I 4 -2'
loop_
_atom_site_label
_atom_site_type_symbol
_atom_site_fract_x
_atom_site_fract_y
_atom_site_fract_z
Zr1 Zr 0.000 0.000 0.000
Zr2 Zr 0.000 0.000 0.440
Zr3 Zr 0.000 0.286 0.062
Zr4 Zr 0.203 0.203 0.570
Ga1 Ga 0.000 0.159 0.729
Ga2 Ga 0.000 0.383 0.581
Ga3 Ga 0.134 0.134 0.221
Ga4 Ga 0.141 0.352 0.318
Ni1 Ni 0.000 0.217 0.417
Ni2 Ni 0.000 0.500 0.332
Ni3 Ni 0.162 0.162 0.905
```



[2]
Simulated powder diffraction line list
Compound: NpGa7
Radiation: λ = 1.5418 Å (Cu Kα)
Structure: a structure optimized by DFT (GGA-PBE)
Lines closer than 0.1° are merged.

Principal peaks in the range 10 to 90 degrees two-theta, by angle:
d/Å, I (rel.), index
4.388, 25, 1 0 1
2.964, 15, 1 1 2
2.401, 100, 1 1 4
2.307, 48, 2 0 0
1.632, 16, 2 2 0
1.350, 32, 3 1 4

```
data_NpGa7
_chemical_formula_sum 'Np2 Ga14'
_cell_length_a 4.615
_cell_length_b 4.615
_cell_length_c 14.186
_cell_angle_alpha 90.00
_cell_angle_beta 90.00
_cell_angle_gamma 90.00
_space_group_name_H-M_alt 'I 4/m m m'
_space_group_IT_number 139
_space_group_name_Hall '-I 4 2'
loop_
_atom_site_label
_atom_site_type_symbol
_atom_site_fract_x
_atom_site_fract_y
_atom_site_fract_z
Np1 Np 0.000 0.000 0.000
Ga1 Ga 0.000 0.000 0.238
Ga2 Ga 0.000 0.000 0.500
Ga3 Ga 0.000 0.500 0.139
```



[3]
Simulated powder diffraction line list
Compound: Np3Ga7
Radiation: λ = 1.5418 Å (Cu Kα)
Structure: a structure optimized by DFT (GGA-PBE)
Lines closer than 0.1° are merged.

Principal peaks in the range 10 to 90 degrees two-theta, by angle:
d/Å, I (rel.), index
4.618, 25, 0 2 1
3.742, 34, 0 0 2
2.880, 54, 1 1 2
2.827, 100, 1 3 1
2.159, 28, 2 2 1
1.932, 26, 1 3 3

```
data_Np3Ga7
_chemical_formula_sum 'Np6 Ga14'
_cell_length_a 4.885
_cell_length_b 11.736
_cell_length_c 7.485
_cell_angle_alpha 90.00
_cell_angle_beta 90.00
_cell_angle_gamma 90.00
_space_group_name_H-M_alt 'C m m m'
_space_group_IT_number 65
_space_group_name_Hall '-C 2 2'
loop_
_atom_site_label
_atom_site_type_symbol
_atom_site_fract_x
_atom_site_fract_y
_atom_site_fract_z
Np1 Np 0.000 0.000 0.000
Np2 Np 0.000 0.178 0.500
Ga1 Ga 0.000 0.387 0.219
Ga2 Ga 0.000 0.500 0.500
Ga3 Ga 0.250 0.250 0.000
```



[4]
Simulated powder diffraction line list
Compound: NpGa6O12
Radiation: λ = 1.5418 Å (Cu Kα)
Structure: a structure optimized by DFT (GGA-PBE)
Lines closer than 0.1° are merged.

Principal peaks in the range 10 to 90 degrees two-theta, by angle:
d/Å, I (rel.), index
3.586, 36, 0 2 1
2.844, 27, 0 0 3
2.819, 100, 3 -1 1
2.447, 36, 1 2 2
1.736, 29, 3 -1 4
1.725, 35, 4 1 0

```
data_NpGa6O12
_chemical_formula_sum 'Np3 Ga18 O36'
_cell_length_a 9.1254
_cell_length_b 9.1254
_cell_length_c 8.5330
_cell_angle_alpha 90.00
_cell_angle_beta 90.00
_cell_angle_gamma 120.00
_space_group_name_H-M_alt 'R -3'
_space_group_IT_number 148
_space_group_name_Hall '-R 3'
loop_
_atom_site_label
_atom_site_type_symbol
_atom_site_fract_x
_atom_site_fract_y
_atom_site_fract_z
Np1 Np 0.0000 0.0000 0.0000
Ga1 Ga 0.0183 0.7801 0.6349
O1 O 0.0010 0.8094 0.8707
O2 O 0.0120 0.8049 0.3871
```



[5]
Simulated powder diffraction line list
Compound: Np2GaO11
Radiation: λ = 1.5418 Å (Cu Kα)
Structure: a structure optimized by DFT (GGA-PBE)
Lines closer than 0.1° are merged.

Principal peaks in the range 10 to 90 degrees two-theta, by angle:
d/Å, I (rel.), index
4.819, 72, 2 0 0
4.411, 100, 0 2 1
4.201, 89, 2 2 -1
3.918, 51, 2 2 0
3.062, 47, 2 2 -2
2.917, 66, 0 0 2

```
data_Np2GaO11
_chemical_formula_sum 'Np8 Ga4 O44'
_cell_length_a 11.382
_cell_length_b 13.460
_cell_length_c 6.898
_cell_angle_alpha 90.00
_cell_angle_beta 122.14
_cell_angle_gamma 90.00
_space_group_name_H-M_alt 'C 1 c 1'
_space_group_IT_number 9
loop_
_space_group_symop_operation_xyz
'x,y,z'
'x,-y,z+1/2'
'x+1/2,y+1/2,z'
'x+1/2,-y+1/2,z+1/2'
loop_
_atom_site_label
_atom_site_type_symbol
_atom_site_fract_x
_atom_site_fract_y
_atom_site_fract_z
Np1 Np 0.000 0.076 0.000
Np2 Np 0.041 0.424 0.472
Ga1 Ga 0.270 0.236 0.486
O1 O 0.061 0.276 0.839
O2 O 0.081 0.178 0.818
O3 O 0.120 0.167 0.262
O4 O 0.126 0.494 0.765
O5 O 0.136 0.016 0.619
O6 O 0.192 0.330 0.589
O7 O 0.349 0.329 0.381
O8 O 0.406 0.017 0.361
O9 O 0.416 0.498 0.214
O10 O 0.418 0.163 0.705
O11 O 0.457 0.187 0.137
```



[6]
Simulated powder diffraction line list
Compound: NpGa3O7
Radiation: λ = 1.5418 Å (Cu Kα)
Structure: a structure optimized by DFT (GGA-PBE)
Lines closer than 0.1° are merged.

Principal peaks in the range 10 to 90 degrees two-theta, by angle:
d/Å, I (rel.), index
5.245, 44, 1 0 1
4.049, 31, 1 1 0
3.442, 27, 0 1 2
3.205, 100, 0 2 1
2.623, 33, 2 0 2
2.024, 26, 2 2 0

```
data_NpGa3O7
_chemical_formula_sum 'Np3 Ga9 O21'
_cell_length_a 8.0978
_cell_length_b 8.0978
_cell_length_c 7.9022
_cell_angle_alpha 90.00
_cell_angle_beta 90.00
_cell_angle_gamma 120.00
_space_group_name_H-M_alt 'R 3 m'
_space_group_IT_number 160
_space_group_name_Hall 'R 3 -2"'
loop_
_atom_site_label
_atom_site_type_symbol
_atom_site_fract_x
_atom_site_fract_y
_atom_site_fract_z
Np1 Np 0.0000 0.0000 0.0000
Ga1 Ga 0.0678 0.5339 0.0199
O1 O 0.0000 0.0000 0.3211
O2 O 0.0106 0.5053 0.7881
O3 O 0.2139 0.4279 0.5266
```



Question: What is the formula in the third record?
Answer: Np3Ga7